[1]
The following is a theoretical X-ray powder pattern of La2Nd5SmTm. It was derived from a crystal structure in Alexandria, relaxed with PBE, using Cu Kα (λ = 1.5418 Å).
Kinematic intensities with the Lorentz-polarization factor, no thermal factor.

Structure:
a = 8.712 Å, b = 8.712 Å, c = 16.704 Å
α = 90.00°, β = 90.00°, γ = 90.00°
Space group I4/mcm (No. 140)
Asymmetric unit:
La1 0.121 0.379 0.000 x8
Nd1 0.000 0.000 0.000 x4
Nd2 0.221 0.279 0.356 x16
Sm1 0.000 0.000 0.250 x4
Tm1 0.000 0.500 0.250 x4

Most intense lines, 10° ≤ 2θ ≤ 90°, by intensity:
2theta	d [Å]	I/Imax
29.63	3.015	100.0
28.99	3.080	54.1
27.95	3.192	35.7
51.78	1.765	29.9
38.37	2.346	14.4
52.98	1.728	12.3
42.91	2.108	12.0
37.61	2.391	11.6
34.27	2.616	11.6
43.33	2.088	11.2

[2]
The following is a theoretical X-ray powder pattern of CrP3Br. It was derived from a crystal structure in Alexandria, relaxed with PBE, using Cu Kα (λ = 1.5418 Å).
Kinematic intensities with the Lorentz-polarization factor, no thermal factor.

Structure:
a = 4.474 Å, b = 4.474 Å, c = 4.474 Å
α = 90.00°, β = 90.00°, γ = 90.00°
Space group Pm-3m (No. 221)
Asymmetric unit:
Cr1 0.000 0.000 0.000 x1
P1 0.000 0.000 0.500 x3
Br1 0.500 0.500 0.500 x1

Most intense lines, 10° ≤ 2θ ≤ 90°, by intensity:
2theta	d [Å]	I/Imax
28.21	3.164	100.0
40.32	2.237	86.2
58.34	1.582	54.5
34.73	2.583	49.5
49.93	1.826	39.1
69.71	1.349	19.2
73.30	1.291	18.2
80.29	1.196	17.9
66.04	1.415	16.0
87.14	1.118	9.0

[3]
The following is a theoretical X-ray powder pattern of CaAg6Pd4. It was derived from a crystal structure in Alexandria, relaxed with PBE, using Cu Kα (λ = 1.5418 Å).
Kinematic intensities with the Lorentz-polarization factor, no thermal factor.

Structure:
a = 6.672 Å, b = 6.672 Å, c = 10.295 Å
α = 90.00°, β = 90.00°, γ = 90.00°
Space group I-42m (No. 121)
Asymmetric unit:
Ca1 0.000 0.000 0.000 x2
Ag1 0.000 0.500 0.000 x4
Ag2 0.153 0.153 0.396 x8
Pd1 0.242 0.242 0.658 x8

Most intense lines, 10° ≤ 2θ ≤ 90°, by intensity:
2theta	d [Å]	I/Imax
46.52	1.952	100.0
44.46	2.038	92.5
39.90	2.259	86.4
38.15	2.359	85.8
15.83	5.599	81.3
31.97	2.800	80.9
40.04	2.252	52.3
31.21	2.866	48.8
74.87	1.268	45.6
41.54	2.174	42.7

[4]
The following is a theoretical X-ray powder pattern of PrNdCl4. It was derived from a crystal structure in Alexandria, relaxed with PBE, using Cu Kα (λ = 1.5418 Å).
Kinematic intensities with the Lorentz-polarization factor, no thermal factor.

Structure:
a = 5.612 Å, b = 5.612 Å, c = 11.135 Å
α = 90.00°, β = 90.00°, γ = 90.00°
Space group I-4m2 (No. 119)
Asymmetric unit:
Pr1 0.000 0.000 0.000 x2
Nd1 0.000 0.500 0.750 x2
Cl1 0.000 0.000 0.260 x4
Cl2 0.000 0.500 0.008 x4

Most intense lines, 10° ≤ 2θ ≤ 90°, by intensity:
2theta	d [Å]	I/Imax
17.70	5.012	100.0
31.89	2.806	57.0
28.84	3.096	38.8
45.92	1.976	38.6
36.71	2.448	32.4
32.16	2.784	27.3
43.53	2.079	25.0
45.73	1.984	19.9
57.00	1.616	19.8
27.60	3.231	17.1

[5]
The following is a theoretical X-ray powder pattern of Ho3TmAu2. It was derived from a crystal structure in Alexandria, relaxed with PBE, using Cu Kα (λ = 1.5418 Å).
Kinematic intensities with the Lorentz-polarization factor, no thermal factor.

Structure:
a = 4.936 Å, b = 8.903 Å, c = 7.049 Å
α = 90.00°, β = 90.00°, γ = 90.00°
Space group Pmc2_1 (No. 26)
Asymmetric unit:
Ho1 0.000 0.073 0.000 x2
Ho2 0.000 0.331 0.363 x2
Ho3 0.500 0.170 0.663 x2
Tm1 0.500 0.427 0.026 x2
Au1 0.000 0.349 0.773 x2
Au2 0.500 0.153 0.253 x2

Most intense lines, 10° ≤ 2θ ≤ 90°, by intensity:
2theta	d [Å]	I/Imax
32.79	2.731	100.0
35.29	2.543	64.1
36.40	2.468	55.1
29.85	2.993	54.2
43.88	2.063	39.0
31.18	2.868	25.5
39.69	2.271	20.3
32.40	2.763	19.6
43.56	2.078	16.4
54.94	1.671	15.8

[6]
The following is a theoretical X-ray powder pattern of NaMnPt. It was derived from a crystal structure in Alexandria, relaxed with PBE, using Cu Kα (λ = 1.5418 Å).
Kinematic intensities with the Lorentz-polarization factor, no thermal factor.

Structure:
a = 10.853 Å, b = 2.842 Å, c = 7.482 Å
α = 90.00°, β = 92.02°, γ = 90.00°
Space group Cm (No. 8)
Asymmetric unit:
Na1 0.000 0.000 0.000 x2
Na2 0.247 0.000 0.741 x2
Mn1 0.119 0.500 0.387 x2
Mn2 0.350 0.000 0.355 x2
Pt1 0.241 0.500 0.105 x2
Pt2 0.478 0.500 0.588 x2

Most intense lines, 10° ≤ 2θ ≤ 90°, by intensity:
2theta	d [Å]	I/Imax
19.88	4.465	100.0
20.57	4.318	89.2
40.38	2.234	86.9
23.80	3.738	41.7
34.86	2.574	41.6
42.48	2.128	37.8
40.56	2.224	32.8
40.92	2.205	32.0
11.84	7.477	28.8
41.84	2.159	27.7